This entry pairs a crystal structure of LaTbCd6 with its computed powder diffraction line list. Radiation: Cu Kα (λ = 1.5418 Å). Structure: a cell relaxed with PBE.
Kinematic intensities with the Lorentz-polarization factor, no thermal factor.

Cell and atoms:
```
data_LaTbCd6
_cell_length_a 4.951
_cell_length_b 7.233
_cell_length_c 11.248
_cell_angle_alpha 90.00
_cell_angle_beta 90.00
_cell_angle_gamma 90.00
_space_group_name_H-M_alt 'A m m 2'
_space_group_IT_number 38
_space_group_name_Hall 'A 2 -2'
loop_
_atom_site_label
_atom_site_type_symbol
_atom_site_fract_x
_atom_site_fract_y
_atom_site_fract_z
La1 La 0.000 0.000 0.000
Tb1 Tb 0.500 0.000 0.718
Cd1 Cd 0.000 0.000 0.535
Cd2 Cd 0.000 0.217 0.267
Cd3 Cd 0.500 0.000 0.193
Cd4 Cd 0.500 0.212 0.450
```

Principal peaks in the range 15 to 90 degrees two-theta, most intense first:
(hkl), 2theta, I (rel.)
1 2 2, 34.6, 100.0
2 0 0, 36.3, 28.7
1 0 4, 36.8, 25.4
0 0 4, 31.8, 19.2
3 2 2, 64.2, 15.8
0 2 2, 29.4, 13.0
2 0 4, 49.0, 11.2
2 2 6, 67.9, 11.1